# 1
For Cs3MoH6, the PBE geometry in Alexandria gives the simulated powder diffractogram in this record (Cu Kα).
Intensities are scaled so that the largest is 100.

The 8 most intense peaks (15° ≤ 2θ ≤ 90°), in order of rising 2θ:
(1 1 1), 2θ = 26.74°, I 100
(4 0 0), 2θ = 38.18°, I 20
(4 2 0), 2θ = 47.22°, I 41
(2 2 2), 2θ = 55.10°, I 13
(5 1 1), 2θ = 62.27°, I 18
(4 4 0), 2θ = 69.01°, I 4
(5 3 1), 2θ = 75.44°, I 21
(3 3 3), 2θ = 87.86°, I 11

Structural model:
Cell lengths 11.5468, 6.6673, 6.6669 Å; angles 90.00, 125.25, 90.00 degrees
Space group C2/m (No. 12)
One atom of each set of equivalent atoms:
Cs1 0.0000 0.0000 0.0000
Cs2 0.2500 0.0000 0.7499
Mo1 0.0000 0.5000 0.5000
H1 0.0009 0.3023 0.3031
H2 0.1977 0.5000 0.6992


# 2
For CsH6N2, the PBE geometry in Alexandria gives the simulated powder diffractogram in this record (Cu Kα).
Intensities are scaled so that the largest is 100.

The 8 most intense peaks (15° ≤ 2θ ≤ 90°), in order of rising 2θ:
(2 2 0), 2θ = 18.23°, I 66
(1 3 1), 2θ = 21.74°, I 100
(3 1 1), 2θ = 24.49°, I 41
(0 2 2), 2θ = 24.72°, I 32
(2 0 2), 2θ = 25.98°, I 60
(3 3 1), 2θ = 29.62°, I 37
(2 4 2), 2θ = 35.17°, I 35
(2 6 0), 2θ = 38.08°, I 31

Structural model:
Cell lengths 12.6334, 15.2723, 8.1692 Å; angles 90.00, 90.00, 90.00 degrees
Space group Fdd2 (No. 43)
One atom of each set of equivalent atoms:
Cs1 0.0000 0.0000 0.0000
H1 0.0134 0.2112 0.5692
H2 0.0423 0.3813 0.0154
H3 0.0694 0.2919 0.9142
N1 0.0573 0.3155 0.0308


# 3
For CsH4N4, the PBE geometry in Alexandria gives the simulated powder diffractogram in this record (Cu Kα).
Intensities are scaled so that the largest is 100.

The 8 most intense peaks (15° ≤ 2θ ≤ 90°), in order of rising 2θ:
(2 0 0), 2θ = 19.61°, I 30
(1 0 1), 2θ = 25.27°, I 93
(2 2 0), 2θ = 27.87°, I 60
(3 1 0), 2θ = 31.24°, I 62
(1 2 1), 2θ = 32.19°, I 100
(3 0 1), 2θ = 37.97°, I 32
(2 3 1), 2θ = 43.09°, I 43
(4 1 1), 2θ = 47.75°, I 32

Structural model:
Cell lengths 9.0551, 9.0551, 3.8252 Å; angles 90.00, 90.00, 90.00 degrees
Space group P4_2/n (No. 86, origin choice 2)
One atom of each set of equivalent atoms:
Cs1 0.2500 0.2500 0.2500
H1 0.0794 0.6248 0.5819
N1 0.0141 0.9298 0.0147


# 4
For Cs3H5N2, the PBE geometry in Alexandria gives the simulated powder diffractogram in this record (Cu Kα).
Intensities are scaled so that the largest is 100.

The 8 most intense peaks (15° ≤ 2θ ≤ 90°), in order of rising 2θ:
(1 3 0), 2θ = 19.74°, I 83
(1 2 1), 2θ = 21.55°, I 100
(2 1 1), 2θ = 27.71°, I 57
(1 1 2), 2θ = 32.42°, I 37
(3 1 0), 2θ = 34.74°, I 30
(0 4 2), 2θ = 37.09°, I 39
(2 5 1), 2θ = 38.73°, I 34
(3 3 2), 2θ = 49.12°, I 41

Structural model:
Cell lengths 7.8434, 16.4651, 5.9986 Å; angles 90.00, 90.00, 90.00 degrees
Space group Ibam (No. 72)
One atom of each set of equivalent atoms:
Cs1 0.0000 0.0000 0.2500
Cs2 0.1500 0.3522 0.0000
H1 0.0000 0.1754 0.2500
H2 0.0000 0.5000 0.2500
H3 0.1539 0.1672 0.0000
N1 0.0216 0.1687 0.0000